Structure and calculated XRD peak list of PmMgSe3 (the GGA-PBE geometry in the Materials Project; Cu Kα).
Lines closer than 0.1° are merged.

Structural model:
```
PmMgSe3
1.0
3.879 -6.257 0.000
3.879 6.257 0.000
-3.067 0.000 6.112
Pm Mg Se
2 2 6
direct
0.196 0.196 0.309
0.804 0.804 0.691
0.333 0.667 0.000
0.667 0.333 0.000
0.110 0.767 0.216
0.233 0.890 0.784
0.468 0.468 0.747
0.532 0.532 0.253
0.767 0.110 0.216
0.890 0.233 0.784
```

Peak list (12 most intense, 15° ≤ 2θ ≤ 90°, in order of falling intensity)
2theta  d (Å)  I (rel.)
29.22  3.056  1000
42.87  2.109  929
27.22  3.276  928
24.91  3.574  733
25.80  3.453  659
31.79  2.815  632
43.39  2.086  597
43.17  2.095  583
27.03  3.298  502
16.05  5.523  433
20.31  4.372  395
53.17  1.723  363

***

Structure and calculated XRD peak list of Pm2MgSe4 (the GGA-PBE geometry in the Materials Project; Cu Kα).
Lines closer than 0.1° are merged.

Structural model:
```
Pm2MgSe4
1.0
8.495 0.000 0.000
0.000 7.542 0.000
0.000 0.000 12.264
Pm Mg Se
8 4 16
direct
0.042 0.250 0.182
0.079 0.750 0.469
0.421 0.250 0.969
0.458 0.750 0.682
0.542 0.250 0.318
0.579 0.750 0.031
0.921 0.250 0.531
0.958 0.750 0.818
0.190 0.750 0.085
0.310 0.250 0.585
0.690 0.750 0.415
0.810 0.250 0.915
0.095 0.250 0.942
0.138 0.506 0.655
0.138 0.994 0.655
0.214 0.250 0.388
0.286 0.750 0.888
0.362 0.006 0.155
0.362 0.494 0.155
0.405 0.750 0.442
0.595 0.250 0.558
0.638 0.506 0.845
0.638 0.994 0.845
0.714 0.250 0.112
0.786 0.750 0.612
0.862 0.006 0.345
0.862 0.494 0.345
0.905 0.750 0.058
```

Peak list (12 most intense, 15° ≤ 2θ ≤ 90°, in order of falling intensity)
2theta  d (Å)  I (rel.)
34.62  2.591  1000
34.02  2.635  957
32.60  2.747  849
23.59  3.771  678
38.63  2.331  660
29.73  3.005  568
48.27  1.885  397
49.02  1.858  354
43.52  2.080  332
31.01  2.884  319
27.77  3.212  297
24.77  3.594  263

***

Structure and calculated XRD peak list of Pm2MgSe4 (the GGA-PBE geometry in the Materials Project; Cu Kα).
Lines closer than 0.1° are merged.

Structural model:
```
Pm2MgSe4
1.0
13.402 0.000 0.000
0.000 4.109 0.000
0.000 0.000 14.527
Pm Mg Se
8 4 16
direct
0.118 0.250 0.073
0.138 0.250 0.704
0.362 0.750 0.204
0.382 0.750 0.573
0.618 0.250 0.427
0.638 0.250 0.796
0.862 0.750 0.296
0.882 0.750 0.927
0.108 0.750 0.460
0.392 0.250 0.960
0.608 0.750 0.040
0.892 0.250 0.540
0.002 0.750 0.616
0.028 0.250 0.883
0.224 0.250 0.247
0.235 0.250 0.514
0.265 0.750 0.014
0.276 0.750 0.747
0.472 0.750 0.383
0.498 0.250 0.116
0.502 0.750 0.884
0.528 0.250 0.617
0.724 0.250 0.253
0.735 0.250 0.986
0.765 0.750 0.486
0.776 0.750 0.753
0.972 0.750 0.117
0.998 0.250 0.384
```

Peak list (12 most intense, 15° ≤ 2θ ≤ 90°, in order of falling intensity)
2theta  d (Å)  I (rel.)
25.43  3.503  1000
32.06  2.792  890
27.94  3.193  691
30.18  2.961  527
22.66  3.925  493
39.37  2.288  460
44.07  2.055  420
43.93  2.061  396
38.54  2.336  375
42.13  2.145  320
44.68  2.028  280
75.39  1.261  273